Calculated XRD peak list of Ba3LiMg for Cu Kα X-rays, from a crystal structure in Alexandria, relaxed with PBE.
Peak positions follow from Bragg's law for the DFT cell and can differ from measured ones.

Crystal structure
a = 12.594 Å, b = 12.594 Å, c = 6.196 Å
α = 90.00°, β = 90.00°, γ = 151.50°
Fractional coordinates of all 10 atoms:
Ba1 0.070 0.930 0.750
Ba2 0.250 0.750 0.750
Ba3 0.429 0.571 0.750
Ba4 0.571 0.429 0.250
Ba5 0.750 0.250 0.250
Ba6 0.930 0.070 0.250
Li1 0.341 0.659 0.250
Li2 0.659 0.341 0.750
Mg1 0.158 0.842 0.250
Mg2 0.842 0.158 0.750

Largest 12 diffraction maxima, in order of falling intensity, 2θ from 10° to 80°:
2theta  Rel. int.
27.34  100
20.59  68
28.81  57
36.44  37
50.15  37
21.84  35
45.83  23
41.19  21
47.10  18
63.30  17
46.48  16
23.05  16

=====

Calculated XRD peak list of Ba4Li3Mg for Cu Kα X-rays, from a crystal structure in Alexandria, relaxed with PBE.
Peak positions follow from Bragg's law for the DFT cell and can differ from measured ones.

Crystal structure
a = 4.894 Å, b = 5.425 Å, c = 13.486 Å
α = 90.00°, β = 90.00°, γ = 90.00°
Fractional coordinates of all 8 atoms:
Ba1 0.000 0.000 0.000
Ba2 0.000 0.500 0.288
Ba3 0.500 0.000 0.497
Ba4 0.500 0.500 0.788
Li1 0.000 0.000 0.706
Li2 0.000 0.500 0.582
Li3 0.500 0.500 0.083
Mg1 0.500 0.000 0.207

Largest 12 diffraction maxima, in order of falling intensity, 2θ from 10° to 80°:
2theta  Rel. int.
25.39  100
21.02  98
26.93  57
42.73  45
19.29  42
41.70  33
43.11  32
26.44  26
33.02  22
31.66  19
36.73  16
38.53  14

=====

Calculated XRD peak list of Ba2Li5Mg12 for Cu Kα X-rays, from a crystal structure in Alexandria, relaxed with PBE.
Peak positions follow from Bragg's law for the DFT cell and can differ from measured ones.

Crystal structure
a = 7.948 Å, b = 7.948 Å, c = 7.948 Å
α = 83.82°, β = 83.82°, γ = 83.82°
Fractional coordinates of all 19 atoms:
Ba1 0.151 0.151 0.151
Ba2 0.849 0.849 0.849
Li1 0.000 0.500 0.500
Li2 0.405 0.405 0.405
Li3 0.500 0.000 0.500
Li4 0.500 0.500 0.000
Li5 0.595 0.595 0.595
Mg1 0.159 0.159 0.639
Mg2 0.159 0.639 0.159
Mg3 0.208 0.500 0.792
Mg4 0.208 0.792 0.500
Mg5 0.361 0.841 0.841
Mg6 0.500 0.208 0.792
Mg7 0.500 0.792 0.208
Mg8 0.639 0.159 0.159
Mg9 0.792 0.208 0.500
Mg10 0.792 0.500 0.208
Mg11 0.841 0.361 0.841
Mg12 0.841 0.841 0.361

Largest 12 diffraction maxima, in order of falling intensity, 2θ from 10° to 80°:
2theta  Rel. int.
34.20  100
24.30  70
11.25  69
29.13  48
30.55  47
26.31  45
33.77  40
16.70  31
48.83  27
17.53  27
35.49  22
22.61  19